# 1
Structure and simulated X-ray powder pattern of Cs2HfW3O12 (a cell relaxed with PBE+U; copper Kα).
Peak positions follow from Bragg's law for the DFT cell and can differ from measured ones.

```
Cs2HfW3O12
1.0
6.440 -3.718 0.000
6.440 3.718 0.000
-4.289 0.000 6.178
Cs Hf W O
2 1 3 12
Direct
0.137 0.137 0.389
0.863 0.863 0.611
0.525 0.475 0.500
0.025 0.475 0.000
0.525 0.975 0.000
0.526 0.474 0.000
0.201 0.533 0.300
0.219 0.164 0.945
0.219 0.533 0.944
0.467 0.408 0.700
0.467 0.781 0.056
0.467 0.799 0.700
0.589 0.165 0.945
0.590 0.148 0.300
0.592 0.533 0.300
0.835 0.411 0.055
0.836 0.781 0.055
0.852 0.410 0.700
```

Top 10 peaks for 2θ from 15° to 90°, in order of rising 2θ:
- 27.77 deg, rel. 43
- 28.01 deg, rel. 100
- 28.13 deg, rel. 49
- 28.90 deg, rel. 28
- 29.37 deg, rel. 71
- 44.53 deg, rel. 17
- 44.69 deg, rel. 30
- 48.40 deg, rel. 36
- 49.00 deg, rel. 36
- 57.89 deg, rel. 24

# 2
Structure and simulated X-ray powder pattern of Li2Nb6NiO18 (a cell relaxed with PBE+U; copper Kα).
Peak positions follow from Bragg's law for the DFT cell and can differ from measured ones.

```
Li2Nb6NiO18
1.0
7.657 0.000 0.000
-3.562 8.223 0.000
-1.269 -3.662 10.491
Li Nb Ni O
4 12 2 36
Direct
0.000 0.000 0.000
0.157 0.328 0.829
0.494 0.996 0.493
0.655 0.326 0.326
0.109 0.663 0.880
0.136 0.661 0.382
0.269 0.985 0.210
0.290 0.009 0.706
0.432 0.323 0.533
0.444 0.299 0.036
0.615 0.667 0.384
0.621 0.632 0.871
0.766 0.997 0.198
0.780 0.981 0.722
0.924 0.303 0.534
0.959 0.338 0.050
0.307 0.653 0.682
0.805 0.652 0.181
0.076 0.058 0.200
0.082 0.064 0.722
0.087 0.451 0.219
0.090 0.763 0.226
0.111 0.462 0.708
0.122 0.517 0.972
0.153 0.547 0.505
0.155 0.766 0.726
0.163 0.868 0.004
0.167 0.243 0.504
0.176 0.248 0.012
0.187 0.865 0.507
0.408 0.722 0.857
0.412 0.112 0.383
0.419 0.751 0.377
0.429 0.123 0.882
0.449 0.436 0.897
0.457 0.185 0.642
0.459 0.193 0.158
0.479 0.446 0.400
0.481 0.542 0.670
0.486 0.874 0.673
0.498 0.911 0.173
0.540 0.538 0.168
0.745 0.393 0.535
0.753 0.790 0.549
0.754 0.759 0.055
0.766 0.435 0.062
0.785 0.112 0.579
0.796 0.837 0.297
0.798 0.863 0.835
0.807 0.112 0.067
0.828 0.568 0.828
0.835 0.196 0.341
0.836 0.577 0.322
0.849 0.193 0.843
```

Top 10 peaks for 2θ from 15° to 90°, in order of rising 2θ:
- 23.39 deg, rel. 100
- 23.60 deg, rel. 49
- 31.88 deg, rel. 22
- 32.21 deg, rel. 43
- 34.68 deg, rel. 43
- 47.83 deg, rel. 19
- 51.97 deg, rel. 17
- 52.30 deg, rel. 17
- 52.61 deg, rel. 16
- 55.76 deg, rel. 13